# 1
For Li2CoP2O7, the PBE+U geometry in Alexandria gives the calculated XRD peak list in this record (Cu Kα).
Intensities are scaled so that the largest is 100.

Structure:
```
data_Li2CoP2O7
_chemical_formula_sum 'Li4 Co2 P4 O14'
_cell_length_a 7.6870
_cell_length_b 7.6870
_cell_length_c 5.0466
_cell_angle_alpha 90.00
_cell_angle_beta 90.00
_cell_angle_gamma 90.00
_space_group_name_H-M_alt 'P -4 21 m'
_space_group_IT_number 113
loop_
_space_group_symop_operation_xyz
'x,y,z'
'y,-x,-z'
'-x,-y,z'
'-y,x,-z'
'x+1/2,-y+1/2,-z'
'y+1/2,x+1/2,z'
'-x+1/2,y+1/2,-z'
'-y+1/2,-x+1/2,z'
loop_
_atom_site_label
_atom_site_fract_x
_atom_site_fract_y
_atom_site_fract_z
Li1 0.2183 0.2817 0.4616
Co1 0.0000 0.0000 0.0000
P1 0.1425 0.6425 0.1007
O1 0.0000 0.5000 0.1958
O2 0.0810 0.8106 0.2423
O3 0.1540 0.6540 0.8040
```

The 10 most intense peaks (2θ from 10° to 80°), in order of rising 2θ:
- d = 5.047 Å, 2θ 17.57, I 100.0, hkl 0 0 1
- d = 4.219 Å, 2θ 21.06, I 26.4, hkl 1 0 1
- d = 3.698 Å, 2θ 24.06, I 23.9, hkl 1 1 1
- d = 3.438 Å, 2θ 25.92, I 74.2, hkl 2 1 0
- d = 3.058 Å, 2θ 29.21, I 27.1, hkl 2 0 1
- d = 2.841 Å, 2θ 31.49, I 31.9, hkl 2 1 1
- d = 2.431 Å, 2θ 36.98, I 20.0, hkl 3 1 0
- d = 2.394 Å, 2θ 37.57, I 21.4, hkl 2 2 1
- d = 2.190 Å, 2θ 41.22, I 46.7, hkl 3 1 1
- d = 1.750 Å, 2θ 52.26, I 25.8, hkl 3 1 2

---

# 2
For LiCoP2O7, the PBE+U geometry in Alexandria gives the calculated XRD peak list in this record (Cu Kα).
Intensities are scaled so that the largest is 100.

Structure:
```
data_LiCoP2O7
_chemical_formula_sum 'Li2 Co2 P4 O14'
_cell_length_a 5.0929
_cell_length_b 6.7947
_cell_length_c 8.1258
_cell_angle_alpha 68.40
_cell_angle_beta 87.33
_cell_angle_gamma 87.77
_space_group_name_H-M_alt 'P 1'
_space_group_IT_number 1
loop_
_space_group_symop_operation_xyz
'x,y,z'
loop_
_atom_site_label
_atom_site_fract_x
_atom_site_fract_y
_atom_site_fract_z
Li1 0.0000 0.0000 0.0000
Li2 0.4982 0.3670 0.4390
Co1 0.4803 0.9734 0.2782
Co2 0.9563 0.4077 0.7364
P1 0.9999 0.6361 0.3144
P2 0.4362 0.7185 0.7011
P3 0.4841 0.0750 0.8352
P4 0.9566 0.2901 0.1830
O1 0.1516 0.6545 0.6966
O2 0.1645 0.1506 0.3045
O3 0.2902 0.6701 0.3347
O4 0.3059 0.2364 0.7009
O5 0.4045 0.0394 0.0293
O6 0.4230 0.8424 0.8364
O7 0.5361 0.8778 0.5228
O8 0.6201 0.5298 0.7825
O9 0.6729 0.2394 0.2584
O10 0.7772 0.1150 0.7907
O11 0.8402 0.8418 0.2293
O12 0.8664 0.4759 0.4814
O13 0.9931 0.2910 0.9954
O14 0.9971 0.5320 0.1630
```

The 10 most intense peaks (2θ from 10° to 80°), in order of rising 2θ:
- d = 6.061 Å, 2θ 14.61, I 84.9, hkl 0 1 1
- d = 4.006 Å, 2θ 22.19, I 68.9, hkl 1 1 0
- d = 3.917 Å, 2θ 22.70, I 100.0, hkl 1 -1 0
- d = 3.775 Å, 2θ 23.57, I 99.9, hkl 0 0 2
- d = 2.875 Å, 2θ 31.11, I 40.6, hkl 1 2 1
- d = 2.769 Å, 2θ 32.33, I 22.0, hkl -1 2 1
- d = 2.707 Å, 2θ 33.10, I 27.6, hkl 0 1 3
- d = 2.544 Å, 2θ 35.29, I 34.3, hkl 2 0 0
- d = 2.481 Å, 2θ 36.21, I 16.4, hkl 1 -1 2
- d = 2.255 Å, 2θ 39.99, I 18.5, hkl 0 3 1

---

# 3
For LiCo2P2O8, the PBE+U geometry in Alexandria gives the calculated XRD peak list in this record (Cu Kα).
Intensities are scaled so that the largest is 100.

Structure:
```
data_LiCo2P2O8
_chemical_formula_sum 'Li2 Co4 P4 O16'
_cell_length_a 7.7687
_cell_length_b 5.5026
_cell_length_c 8.5466
_cell_angle_alpha 90.00
_cell_angle_beta 103.84
_cell_angle_gamma 90.00
_space_group_name_H-M_alt 'P 1 c 1'
_space_group_IT_number 7
loop_
_space_group_symop_operation_xyz
'x,y,z'
'x,-y,z+1/2'
loop_
_atom_site_label
_atom_site_fract_x
_atom_site_fract_y
_atom_site_fract_z
Li1 0.0000 0.1618 0.0000
Co1 0.4077 0.1538 0.3308
Co2 0.8744 0.3421 0.6201
P1 0.1218 0.3416 0.3783
P2 0.6381 0.1629 0.0863
O1 0.0026 0.1959 0.4661
O2 0.0422 0.4030 0.8342
O3 0.1503 0.1949 0.2271
O4 0.3185 0.3531 0.4796
O5 0.4821 0.1330 0.9313
O6 0.5581 0.2852 0.2186
O7 0.7134 0.0859 0.6444
O8 0.7801 0.3321 0.0467
```

The 10 most intense peaks (2θ from 10° to 80°), in order of rising 2θ:
- d = 4.586 Å, 2θ 19.36, I 55.7, hkl 0 1 1
- d = 4.445 Å, 2θ 19.97, I 58.1, hkl 1 1 0
- d = 4.070 Å, 2θ 21.84, I 62.5, hkl 1 0 -2
- d = 3.707 Å, 2θ 24.01, I 100.0, hkl 1 1 1
- d = 3.316 Å, 2θ 26.89, I 56.4, hkl 1 0 2
- d = 2.765 Å, 2θ 32.38, I 49.5, hkl 2 1 -2
- d = 2.741 Å, 2θ 32.67, I 21.2, hkl 2 1 1
- d = 2.612 Å, 2θ 34.34, I 16.3, hkl 0 2 1
- d = 1.971 Å, 2θ 46.05, I 21.8, hkl 1 2 -3
- d = 1.591 Å, 2θ 57.96, I 21.5, hkl 2 3 -2

---

# 4
For Li3Co2P3O12, the PBE+U geometry in Alexandria gives the calculated XRD peak list in this record (Cu Kα).
Intensities are scaled so that the largest is 100.

Structure:
```
data_Li3Co2P3O12
_chemical_formula_sum 'Li18 Co12 P18 O72'
_cell_length_a 8.4417
_cell_length_b 8.4417
_cell_length_c 22.4603
_cell_angle_alpha 90.00
_cell_angle_beta 90.00
_cell_angle_gamma 120.00
_space_group_name_H-M_alt 'R -3'
_space_group_IT_number 148
_space_group_name_Hall '-R 3'
loop_
_atom_site_label
_atom_site_fract_x
_atom_site_fract_y
_atom_site_fract_z
Li1 0.0175 0.6346 0.2152
Co1 0.0000 0.0000 0.1502
Co2 0.0000 0.0000 0.3522
P1 0.0009 0.2905 0.2505
O1 0.0007 0.8037 0.6912
O2 0.0466 0.2122 0.5891
O3 0.0935 0.2378 0.1989
O4 0.0971 0.2338 0.8989
```

The 10 most intense peaks (2θ from 10° to 80°), in order of rising 2θ:
- d = 6.127 Å, 2θ 14.46, I 79.3, hkl 0 1 2
- d = 4.453 Å, 2θ 19.94, I 88.0, hkl 1 0 4
- d = 4.221 Å, 2θ 21.05, I 22.7, hkl 1 1 0
- d = 3.677 Å, 2θ 24.21, I 100.0, hkl 1 1 3
- d = 3.063 Å, 2θ 29.15, I 56.6, hkl 0 2 4
- d = 2.801 Å, 2θ 31.96, I 87.8, hkl 1 1 6
- d = 2.437 Å, 2θ 36.88, I 26.0, hkl 3 0 0
- d = 1.838 Å, 2θ 49.59, I 21.0, hkl 2 2 6
- d = 1.743 Å, 2θ 52.50, I 25.5, hkl 2 1 10
- d = 1.468 Å, 2θ 63.35, I 22.8, hkl 4 1 6

---

# 5
For Li2CoP4O12, the PBE+U geometry in Alexandria gives the calculated XRD peak list in this record (Cu Kα).
Intensities are scaled so that the largest is 100.

Structure:
```
data_Li2CoP4O12
_chemical_formula_sum 'Li8 Co4 P16 O48'
_cell_length_a 9.2507
_cell_length_b 14.4423
_cell_length_c 7.7111
_cell_angle_alpha 90.00
_cell_angle_beta 104.37
_cell_angle_gamma 90.00
_space_group_name_H-M_alt 'C 1 2/c 1'
_space_group_IT_number 15
loop_
_space_group_symop_operation_xyz
'x,y,z'
'-x,-y,-z'
'-x,y,-z+1/2'
'x,-y,z+1/2'
'x+1/2,y+1/2,z'
'-x+1/2,-y+1/2,-z'
'-x+1/2,y+1/2,-z+1/2'
'x+1/2,-y+1/2,z+1/2'
loop_
_atom_site_label
_atom_site_fract_x
_atom_site_fract_y
_atom_site_fract_z
Li1 0.1688 0.1455 0.2593
Co1 0.0000 0.3715 0.7500
P1 0.0958 0.1749 0.6218
P2 0.1387 0.4315 0.1767
O1 0.0000 0.1313 0.7500
O2 0.0000 0.3981 0.2500
O3 0.0183 0.1610 0.4289
O4 0.1417 0.3787 0.0106
O5 0.1484 0.2709 0.6873
O6 0.1503 0.4641 0.6763
O7 0.2313 0.1036 0.6566
```

The 10 most intense peaks (2θ from 10° to 80°), in order of rising 2θ:
- d = 7.615 Å, 2θ 11.62, I 91.5, hkl 1 1 0
- d = 6.003 Å, 2θ 14.76, I 22.5, hkl 1 1 -1
- d = 4.846 Å, 2θ 18.31, I 57.6, hkl 1 1 1
- d = 4.241 Å, 2θ 20.95, I 16.3, hkl 1 3 0
- d = 3.728 Å, 2θ 23.87, I 100.0, hkl 0 0 2
- d = 3.611 Å, 2θ 24.66, I 41.1, hkl 0 4 0
- d = 3.300 Å, 2θ 27.02, I 16.7, hkl 2 0 -2
- d = 3.105 Å, 2θ 28.76, I 18.2, hkl 1 1 2
- d = 2.573 Å, 2θ 34.87, I 44.4, hkl 2 0 2
- d = 2.341 Å, 2θ 38.45, I 19.9, hkl 3 3 -2

---

# 6
For Li2CoP4O12, the PBE+U geometry in Alexandria gives the calculated XRD peak list in this record (Cu Kα).
Intensities are scaled so that the largest is 100.

Structure:
```
data_Li2CoP4O12
_chemical_formula_sum 'Li4 Co2 P8 O24'
_cell_length_a 7.4568
_cell_length_b 9.2420
_cell_length_c 8.6498
_cell_angle_alpha 90.00
_cell_angle_beta 124.30
_cell_angle_gamma 90.00
_space_group_name_H-M_alt 'P 1 21/c 1'
_space_group_IT_number 14
loop_
_space_group_symop_operation_xyz
'x,y,z'
'-x,-y,-z'
'-x,y+1/2,-z+1/2'
'x,-y+1/2,z+1/2'
loop_
_atom_site_label
_atom_site_fract_x
_atom_site_fract_y
_atom_site_fract_z
Li1 0.1833 0.1547 0.2997
Co1 0.0000 0.0000 0.5000
P1 0.2332 0.7034 0.3937
P2 0.4719 0.5913 0.7809
O1 0.0859 0.6991 0.9140
O2 0.1130 0.5756 0.2679
O3 0.2880 0.1031 0.5682
O4 0.3565 0.0481 0.2471
O5 0.3566 0.7199 0.8167
O6 0.4423 0.6495 0.5914
```

The 10 most intense peaks (2θ from 10° to 80°), in order of rising 2θ:
- d = 5.653 Å, 2θ 15.68, I 67.0, hkl 0 1 1
- d = 5.587 Å, 2θ 15.86, I 34.5, hkl 1 1 -1
- d = 5.126 Å, 2θ 17.30, I 87.5, hkl 1 1 0
- d = 3.859 Å, 2θ 23.05, I 100.0, hkl 1 2 -1
- d = 3.420 Å, 2θ 26.05, I 61.1, hkl 2 1 -1
- d = 3.333 Å, 2θ 26.75, I 42.0, hkl 0 1 2
- d = 3.157 Å, 2θ 28.27, I 61.0, hkl 1 2 -2
- d = 2.879 Å, 2θ 31.06, I 25.4, hkl 2 2 -1
- d = 2.697 Å, 2θ 33.22, I 35.2, hkl 1 1 -3
- d = 2.533 Å, 2θ 35.44, I 27.2, hkl 1 0 2

---

Which formula does entry 3 have? LiCo2P2O8